Starting from the PBE geometry in Alexandria, the powder diffraction line list of Pm6Nd16Tm7 was computed for Cu Kα X-rays.

Top 10 peaks for 15 to 90 degrees two-theta, sorted by position:
two_theta  d/Å  I_rel
27.4  3.259  9
29.1  3.073  26
31.7  2.823  100
43.5  2.079  12
45.4  1.996  12
56.5  1.630  20
57.4  1.605  8
59.9  1.544  10
69.7  1.349  7
80.5  1.193  8

Cell and atoms:
abc: 15.967 15.967 15.967
angles: 90.00 90.00 90.00
Space group Fm-3m (No. 225)
Unique sites:
Pm1 0.000 0.000 0.209 x24
Nd1 0.122 0.122 0.378 x32
Nd2 0.153 0.153 0.153 x32
Tm1 0.000 0.000 0.500 x4
Tm2 0.000 0.250 0.250 x24

***

Starting from the PBE geometry in Alexandria, the powder diffraction line list of Pm6Nd4Tm was computed for Cu Kα X-rays.

Top 10 peaks for 15 to 90 degrees two-theta, sorted by position:
two_theta  d/Å  I_rel
24.5  3.628  15
27.9  3.200  26
29.5  3.030  30
30.9  2.890  96
32.3  2.771  100
35.0  2.562  35
45.3  2.000  21
50.3  1.813  17
54.1  1.696  15
61.2  1.515  32

Cell and atoms:
abc: 11.0859 11.0859 3.6190
angles: 90.00 90.00 120.00
Space group P-6m2 (No. 187)
Unique sites:
Pm1 0.0328 0.5164 0.0000 x3
Pm2 0.1374 0.2749 0.5000 x3
Nd1 0.3333 0.6667 0.5000 x1
Nd2 0.3525 0.1763 0.0000 x3
Tm1 0.6667 0.3333 0.5000 x1

***

Starting from the PBE geometry in Alexandria, the powder diffraction line list of Pm9Nd11Tm4 was computed for Cu Kα X-rays.

Top 10 peaks for 15 to 90 degrees two-theta, sorted by position:
two_theta  d/Å  I_rel
29.2  3.059  90
29.7  3.007  30
30.1  2.971  18
30.7  2.915  33
31.0  2.884  29
31.7  2.820  88
32.1  2.786  100
49.5  1.841  24
52.9  1.730  16
58.5  1.577  37

Cell and atoms:
abc: 17.059 26.334 3.681
angles: 90.00 90.00 90.00
Space group Cmmm (No. 65)
Unique sites:
Pm1 0.000 0.000 0.000 x2
Pm2 0.104 0.230 0.000 x8
Pm3 0.138 0.425 0.000 x8
Nd1 0.000 0.130 0.500 x4
Nd2 0.000 0.335 0.500 x4
Nd3 0.000 0.500 0.500 x2
Nd4 0.210 0.000 0.500 x4
Nd5 0.221 0.320 0.500 x8
Tm1 0.159 0.101 0.000 x8

***

Starting from the PBE geometry in Alexandria, the powder diffraction line list of PmNd4Tm was computed for Cu Kα X-rays.

Top 10 peaks for 15 to 90 degrees two-theta, sorted by position:
two_theta  d/Å  I_rel
28.8  3.102  19
30.6  2.925  33
31.6  2.835  100
32.9  2.721  27
42.5  2.128  13
47.9  1.901  9
54.9  1.671  21
57.8  1.594  10
61.9  1.499  8
78.8  1.215  8

Cell and atoms:
abc: 5.851 22.810 6.203
angles: 90.00 90.00 90.00
Space group Imma (No. 74)
Unique sites:
Pm1 0.000 0.000 0.000 x4
Nd1 0.000 0.090 0.442 x8
Nd2 0.000 0.170 0.926 x8
Tm1 0.000 0.250 0.421 x4

***

Starting from the PBE geometry in Alexandria, the powder diffraction line list of PmNd7Tm3 was computed for Cu Kα X-rays.

Top 10 peaks for 15 to 90 degrees two-theta, sorted by position:
two_theta  d/Å  I_rel
24.6  3.616  17
30.2  2.958  68
31.3  2.862  31
31.6  2.829  23
32.1  2.790  82
32.2  2.780  100
44.0  2.057  24
44.3  2.044  18
54.9  1.672  40
61.0  1.519  17

Cell and atoms:
abc: 5.916 11.315 11.448
angles: 90.00 90.00 90.00
Space group Immm (No. 71)
Unique sites:
Pm1 0.000 0.000 0.000 x2
Nd1 0.000 0.194 0.291 x8
Nd2 0.000 0.292 0.000 x4
Nd3 0.000 0.500 0.500 x2
Tm1 0.000 0.000 0.500 x2
Tm2 0.000 0.500 0.203 x4

***

Starting from the PBE geometry in Alexandria, the powder diffraction line list of Pm2Nd2Tm15 was computed for Cu Kα X-rays.

Top 10 peaks for 15 to 90 degrees two-theta, sorted by position:
two_theta  d/Å  I_rel
27.6  3.235  31
27.7  3.222  34
31.1  2.872  43
31.7  2.819  100
31.9  2.805  94
35.7  2.518  99
51.4  1.776  19
55.8  1.648  26
56.9  1.618  42
66.3  1.410  21

Cell and atoms:
abc: 11.2079 11.2079 17.2341
angles: 90.00 90.00 120.00
Space group R-3m (No. 166, hexagonal axes)
Unique sites:
Pm1 0.0000 0.0000 0.1637 x6
Nd1 0.0000 0.0000 0.3808 x6
Tm1 0.0000 0.3049 0.5000 x18
Tm2 0.0000 0.5000 0.0000 x9
Tm3 0.0108 0.5054 0.6425 x18

***

Starting from the PBE geometry in Alexandria, the powder diffraction line list of Pm4Nd2Tm5 was computed for Cu Kα X-rays.

Top 10 peaks for 15 to 90 degrees two-theta, sorted by position:
two_theta  d/Å  I_rel
27.6  3.230  64
30.8  2.901  100
31.4  2.846  78
31.6  2.833  75
33.6  2.669  96
34.2  2.625  86
51.6  1.771  44
61.4  1.509  28
61.6  1.506  26
61.8  1.500  45

Cell and atoms:
abc: 24.071 3.535 8.656
angles: 90.00 94.20 90.00
Space group C2/m (No. 12)
Unique sites:
Pm1 0.041 0.000 0.340 x4
Pm2 0.088 0.500 0.696 x4
Nd1 0.225 0.500 0.826 x4
Tm1 0.000 0.500 0.000 x2
Tm2 0.130 0.000 0.047 x4
Tm3 0.187 0.000 0.472 x4

***

Starting from the PBE geometry in Alexandria, the powder diffraction line list of Pm5Nd3Tm4 was computed for Cu Kα X-rays.

Top 10 peaks for 15 to 90 degrees two-theta, sorted by position:
two_theta  d/Å  I_rel
30.4  2.941  100
35.2  2.547  51
50.7  1.801  36
60.2  1.536  32
60.3  1.534  11
63.2  1.471  9
82.5  1.169  12
82.6  1.168  6
85.1  1.140  8
85.2  1.139  5

Cell and atoms:
abc: 6.244 7.199 8.821
angles: 89.88 89.98 89.99
Space group P-1 (No. 2)
Unique sites:
Pm1 0.000 0.000 0.000 x1
Pm2 0.333 0.500 0.335 x2
Pm3 0.498 0.247 0.999 x2
Nd1 0.000 0.500 0.000 x1
Nd2 0.165 0.752 0.664 x2
Tm1 0.168 0.247 0.665 x2
Tm2 0.335 0.000 0.336 x2

***

Starting from the PBE geometry in Alexandria, the powder diffraction line list of Pm8Nd5Tm was computed for Cu Kα X-rays.

Top 10 peaks for 15 to 90 degrees two-theta, sorted by position:
two_theta  d/Å  I_rel
27.7  3.219  74
28.6  3.116  76
28.8  3.104  90
31.2  2.871  25
33.3  2.692  100
33.8  2.653  56
34.1  2.631  59
53.9  1.702  33
62.2  1.493  24
84.5  1.147  25

Cell and atoms:
abc: 9.816 9.816 10.221
angles: 90.00 90.00 90.00
Space group I-4 (No. 82)
Unique sites:
Pm1 0.069 0.328 0.407 x8
Pm2 0.084 0.183 0.747 x8
Nd1 0.000 0.000 0.500 x2
Nd2 0.107 0.210 0.078 x8
Tm1 0.000 0.500 0.750 x2

***

Starting from the PBE geometry in Alexandria, the powder diffraction line list of Pm8Nd3Tm3 was computed for Cu Kα X-rays.

Top 10 peaks for 15 to 90 degrees two-theta, sorted by position:
two_theta  d/Å  I_rel
28.6  3.119  14
29.3  3.049  32
30.2  2.956  30
31.2  2.865  52
31.4  2.846  100
33.2  2.695  54
44.0  2.057  21
55.7  1.651  20
56.8  1.620  21
61.6  1.506  13

Cell and atoms:
abc: 5.731 10.892 15.266
angles: 90.00 90.00 90.00
Space group Immm (No. 71)
Unique sites:
Pm1 0.000 0.160 0.221 x8
Pm2 0.000 0.338 0.397 x8
Nd1 0.000 0.000 0.500 x2
Nd2 0.000 0.500 0.180 x4
Tm1 0.000 0.000 0.000 x2
Tm2 0.000 0.299 0.000 x4

***

Starting from the PBE geometry in Alexandria, the powder diffraction line list of Pm3NdTm8 was computed for Cu Kα X-rays.

Top 10 peaks for 15 to 90 degrees two-theta, sorted by position:
two_theta  d/Å  I_rel
27.5  3.238  18
31.5  2.840  52
31.8  2.814  100
32.2  2.777  69
35.5  2.526  22
36.0  2.493  43
52.0  1.758  22
56.3  1.634  17
56.9  1.619  20
66.5  1.407  24

Cell and atoms:
abc: 6.372 11.280 11.359
angles: 90.00 90.00 90.00
Space group Immm (No. 71)
Unique sites:
Pm1 0.000 0.000 0.000 x2
Pm2 0.000 0.500 0.251 x4
Nd1 0.000 0.000 0.500 x2
Tm1 0.000 0.172 0.250 x8
Tm2 0.250 0.249 0.000 x8

***

Starting from the PBE geometry in Alexandria, the powder diffraction line list of PmNd5Tm12 was computed for Cu Kα X-rays.

Top 10 peaks for 15 to 90 degrees two-theta, sorted by position:
two_theta  d/Å  I_rel
30.4  2.942  24
31.2  2.864  30
32.1  2.786  100
35.2  2.550  12
44.1  2.052  17
55.1  1.667  12
56.2  1.638  21
58.3  1.582  9
67.2  1.393  9
73.6  1.287  9

Cell and atoms:
abc: 11.384 17.182 5.884
angles: 90.00 90.00 90.00
Space group C2/m (No. 12)
Unique sites:
Pm1 0.000 0.000 0.000 x2
Nd1 0.000 0.166 0.500 x4
Nd2 0.000 0.334 0.000 x4
Nd3 0.000 0.500 0.500 x2
Tm1 0.177 0.167 0.951 x8
Tm2 0.177 0.333 0.549 x8
Tm3 0.178 0.000 0.552 x4
Tm4 0.179 0.500 0.948 x4